1.
For BaSi4O9, a crystal structure in Alexandria, relaxed with PBE gives the theoretical powder X-ray diffraction pattern in this record (λ = 1.5418 Å (Cu Kα)).
Lines closer than 0.1° are merged.

Atomic structure:
```
data_BaSi4O9
_cell_length_a 6.579
_cell_length_b 6.579
_cell_length_c 9.469
_cell_angle_alpha 90.00
_cell_angle_beta 90.00
_cell_angle_gamma 120.00
_symmetry_space_group_name_H-M 'P 1'
_symmetry_Int_Tables_number 1
_symmetry_space_group_name_Hall 'P 1'
loop_
_atom_site_label
_atom_site_type_symbol
_atom_site_fract_x
_atom_site_fract_y
_atom_site_fract_z
Ba1 Ba 0.000 0.000 0.000
Ba2 Ba 0.000 0.000 0.500
Si1 Si 0.033 0.455 0.250
Si2 Si 0.033 0.578 0.750
Si3 Si 0.422 0.455 0.750
Si4 Si 0.422 0.967 0.250
Si5 Si 0.545 0.578 0.250
Si6 Si 0.545 0.967 0.750
Si7 Si 0.667 0.333 0.000
Si8 Si 0.667 0.333 0.500
O1 O 0.146 0.402 0.750
O2 O 0.146 0.744 0.250
O3 O 0.256 0.402 0.250
O4 O 0.256 0.854 0.750
O5 O 0.439 0.110 0.107
O6 O 0.439 0.110 0.393
O7 O 0.439 0.330 0.607
O8 O 0.439 0.330 0.893
O9 O 0.598 0.744 0.750
O10 O 0.598 0.854 0.250
O11 O 0.670 0.110 0.607
O12 O 0.670 0.110 0.893
O13 O 0.670 0.561 0.107
O14 O 0.670 0.561 0.393
O15 O 0.890 0.330 0.107
O16 O 0.890 0.330 0.393
O17 O 0.890 0.561 0.607
O18 O 0.890 0.561 0.893
```

Largest 6 diffraction maxima, by angle, 10 to 90 degrees two-theta:
d [Å], Rel. int.
5.697, 28
3.641, 100
2.849, 36
2.701, 72
2.153, 20
1.960, 20



2.
For Ba2Ca3Cd2, a crystal structure in Alexandria, relaxed with PBE gives the theoretical powder X-ray diffraction pattern in this record (λ = 1.5418 Å (Cu Kα)).
Lines closer than 0.1° are merged.

Atomic structure:
```
data_Ba2Ca3Cd2
_cell_length_a 17.067
_cell_length_b 17.067
_cell_length_c 4.007
_cell_angle_alpha 90.00
_cell_angle_beta 90.00
_cell_angle_gamma 166.11
_symmetry_space_group_name_H-M 'P 1'
_symmetry_Int_Tables_number 1
_symmetry_space_group_name_Hall 'P 1'
loop_
_atom_site_label
_atom_site_type_symbol
_atom_site_fract_x
_atom_site_fract_y
_atom_site_fract_z
Ba1 Ba 0.191 0.809 0.000
Ba2 Ba 0.809 0.191 0.000
Ca1 Ca 0.076 0.924 0.000
Ca2 Ca 0.500 0.500 0.500
Ca3 Ca 0.924 0.076 0.000
Cd1 Cd 0.376 0.624 0.500
Cd2 Cd 0.624 0.376 0.500
```

Largest 6 diffraction maxima, by angle, 10 to 90 degrees two-theta:
d [Å], Rel. int.
8.471, 62
3.524, 46
3.140, 61
2.911, 100
2.864, 77
2.785, 79



3.
For YAl5Pd3, a crystal structure in Alexandria, relaxed with PBE gives the theoretical powder X-ray diffraction pattern in this record (λ = 1.5418 Å (Cu Kα)).
Lines closer than 0.1° are merged.

Atomic structure:
```
data_YAl5Pd3
_cell_length_a 6.751
_cell_length_b 6.751
_cell_length_c 12.563
_cell_angle_alpha 90.00
_cell_angle_beta 90.00
_cell_angle_gamma 145.14
_symmetry_space_group_name_H-M 'P 1'
_symmetry_Int_Tables_number 1
_symmetry_space_group_name_Hall 'P 1'
loop_
_atom_site_label
_atom_site_type_symbol
_atom_site_fract_x
_atom_site_fract_y
_atom_site_fract_z
Y1 Y 0.149 0.851 0.750
Y2 Y 0.851 0.149 0.250
Al1 Al 0.000 0.000 0.000
Al2 Al 0.000 0.000 0.500
Al3 Al 0.201 0.799 0.059
Al4 Al 0.201 0.799 0.441
Al5 Al 0.434 0.566 0.648
Al6 Al 0.434 0.566 0.852
Al7 Al 0.566 0.434 0.148
Al8 Al 0.566 0.434 0.352
Al9 Al 0.799 0.201 0.559
Al10 Al 0.799 0.201 0.941
Pd1 Pd 0.138 0.862 0.250
Pd2 Pd 0.392 0.608 0.051
Pd3 Pd 0.392 0.608 0.449
Pd4 Pd 0.608 0.392 0.551
Pd5 Pd 0.608 0.392 0.949
Pd6 Pd 0.862 0.138 0.750
```

Largest 6 diffraction maxima, by angle, 10 to 90 degrees two-theta:
d [Å], Rel. int.
3.288, 100
3.221, 63
2.666, 90
2.054, 45
2.022, 45
1.911, 43



4.
For Tb5NdSc4, a crystal structure in Alexandria, relaxed with PBE gives the theoretical powder X-ray diffraction pattern in this record (λ = 1.5418 Å (Cu Kα)).
Lines closer than 0.1° are merged.

Atomic structure:
```
data_Tb5NdSc4
_cell_length_a 7.622
_cell_length_b 7.622
_cell_length_c 7.622
_cell_angle_alpha 99.50
_cell_angle_beta 99.50
_cell_angle_gamma 132.05
_symmetry_space_group_name_H-M 'P 1'
_symmetry_Int_Tables_number 1
_symmetry_space_group_name_Hall 'P 1'
loop_
_atom_site_label
_atom_site_type_symbol
_atom_site_fract_x
_atom_site_fract_y
_atom_site_fract_z
Tb1 Tb 0.000 0.000 0.000
Tb2 Tb 0.482 0.581 0.606
Tb3 Tb 0.581 0.974 0.099
Tb4 Tb 0.875 0.482 0.901
Tb5 Tb 0.974 0.875 0.394
Nd1 Nd 0.456 0.456 0.000
Sc1 Sc 0.168 0.585 0.301
Sc2 Sc 0.283 0.867 0.699
Sc3 Sc 0.585 0.283 0.416
Sc4 Sc 0.867 0.168 0.584
```

Largest 6 diffraction maxima, by angle, 10 to 90 degrees two-theta:
d [Å], Rel. int.
3.590, 77
3.115, 100
2.901, 69
2.622, 93
2.500, 84
2.196, 65